Starting from a crystal structure in the Materials Project, relaxed with GGA-PBE, the powder diffraction line list of CaTiCuO4 was simulated for Cu Kα, 1.54184 Å.
Kinematic intensities with the Lorentz-polarization factor, no thermal factor.

Cell: 3.9327 3.9327 10.7916 Å, 90.00 90.00 90.00°
Space group P4/nmm (No. 129, origin choice 2)
Unique sites:
Ca1 0.2500 0.2500 0.1266 [2 per cell]
Ti1 0.2500 0.2500 0.7451 [2 per cell]
Cu1 0.2500 0.7500 0.5000 [2 per cell]
O1 0.2500 0.2500 0.5299 [2 per cell]
O2 0.2500 0.2500 0.9149 [2 per cell]
O3 0.2500 0.7500 0.2623 [4 per cell]

Top 10 peaks for 5 to 70 degrees two-theta, low angle first:
two_theta  I_rel
8.19  94
24.75  46
33.26  100
36.34  23
41.85  20
46.16  73
46.93  30
48.09  24
53.08  20
67.35  20



Starting from a crystal structure in the Materials Project, relaxed with GGA-PBE, the powder diffraction line list of PrP3H6O12 was simulated for Cu Kα, 1.54184 Å.
Kinematic intensities with the Lorentz-polarization factor, no thermal factor.

Cell: 6.8743 6.8743 6.1252 Å, 90.00 90.00 120.00°
Space group P-6 (No. 174)
Unique sites:
Pr1 0.0000 0.0000 0.0000 [1 per cell]
P1 0.3885 0.2705 0.5000 [3 per cell]
H1 0.0570 0.4894 0.1259 [6 per cell]
O1 0.0613 0.4044 0.0000 [3 per cell]
O2 0.2710 0.2494 0.2881 [6 per cell]
O3 0.4848 0.0987 0.5000 [3 per cell]

Top 10 peaks for 5 to 70 degrees two-theta, low angle first:
two_theta  I_rel
14.88  88
20.81  100
29.16  17
29.81  55
30.02  16
33.47  37
40.07  23
42.34  20
42.81  20
50.32  30



Starting from a crystal structure in the Materials Project, relaxed with GGA-PBE, the powder diffraction line list of NaAlSiO4 was simulated for Cu Kα, 1.54184 Å.
Kinematic intensities with the Lorentz-polarization factor, no thermal factor.

Cell: 8.4552 10.0312 10.0578 Å, 119.86 90.06 90.17°
Space group P1 (No. 1)
Unique sites:
Na1 0.0000 0.0000 0.0000 [1 per cell]
Na2 0.0020 0.5518 0.4367 [1 per cell]
Na3 0.0037 0.4460 0.8930 [1 per cell]
Na4 0.4891 0.0055 0.4272 [1 per cell]
Na5 0.4993 0.5588 0.9982 [1 per cell]
Na6 0.5013 0.4445 0.4438 [1 per cell]
Na7 0.5047 0.9944 0.8875 [1 per cell]
Na8 0.9898 0.0274 0.4668 [1 per cell]
Al1 0.1892 0.7611 0.1212 [1 per cell]
Al2 0.1940 0.3274 0.5375 [1 per cell]
Al3 0.1941 0.9034 0.6833 [1 per cell]
Al4 0.2065 0.3253 0.1103 [1 per cell]
Al5 0.6912 0.0850 0.2079 [1 per cell]
Al6 0.6929 0.2333 0.7760 [1 per cell]
Al7 0.6931 0.6665 0.3534 [1 per cell]
Al8 0.7067 0.6641 0.7843 [1 per cell]
Si1 0.3083 0.6643 0.7843 [1 per cell]
Si2 0.3215 0.2348 0.7762 [1 per cell]
Si3 0.3235 0.0847 0.2060 [1 per cell]
Si4 0.3233 0.6657 0.3547 [1 per cell]
Si5 0.8087 0.3257 0.1111 [1 per cell]
Si6 0.8200 0.3282 0.5373 [1 per cell]
Si7 0.8227 0.9042 0.6852 [1 per cell]
Si8 0.8256 0.7586 0.1205 [1 per cell]
O1 0.9998 0.7096 0.1530 [1 per cell]
O2 0.0009 0.3121 0.1130 [1 per cell]
O3 0.0010 0.9778 0.7353 [1 per cell]
O4 0.1873 0.9576 0.1785 [1 per cell]
O5 0.1939 0.2534 0.6630 [1 per cell]
O6 0.1954 0.7687 0.4876 [1 per cell]
O7 0.2350 0.6458 0.9253 [1 per cell]
O8 0.2479 0.8247 0.7981 [1 per cell]
O9 0.2539 0.5192 0.6188 [1 per cell]
O10 0.2637 0.3449 0.9531 [1 per cell]
O11 0.2700 0.4860 0.2807 [1 per cell]
O12 0.2903 0.1579 0.0952 [1 per cell]
O13 0.3253 0.2156 0.3879 [1 per cell]
O14 0.3293 0.0527 0.7251 [1 per cell]
O15 0.3290 0.7248 0.2291 [1 per cell]
O16 0.4989 0.0045 0.1673 [1 per cell]
O17 0.4996 0.2901 0.7603 [1 per cell]
O18 0.5011 0.6670 0.7968 [1 per cell]
O19 0.5011 0.6823 0.4267 [1 per cell]
O20 0.6894 0.7301 0.2196 [1 per cell]
O21 0.6926 0.2187 0.4045 [1 per cell]
O22 0.6935 0.0354 0.7098 [1 per cell]
O23 0.7320 0.1671 0.0933 [1 per cell]
O24 0.7498 0.4735 0.2718 [1 per cell]
O25 0.7554 0.3472 0.9668 [1 per cell]
O26 0.7657 0.5068 0.6088 [1 per cell]
O27 0.7725 0.8359 0.7967 [1 per cell]
O28 0.7868 0.6495 0.9375 [1 per cell]
O29 0.8259 0.2695 0.6627 [1 per cell]
O30 0.8271 0.7737 0.5031 [1 per cell]
O31 0.8301 0.9409 0.1709 [1 per cell]
O32 0.9991 0.3086 0.4672 [1 per cell]

Top 10 peaks for 5 to 70 degrees two-theta, low angle first:
two_theta  I_rel
20.41  34
21.01  80
22.96  84
23.03  38
27.10  100
29.43  99
29.51  51
30.80  46
37.99  38
38.09  39



Starting from a crystal structure in the Materials Project, relaxed with GGA-PBE, the powder diffraction line list of K2NbCuS2 was simulated for Cu Kα, 1.54184 Å.
Kinematic intensities with the Lorentz-polarization factor, no thermal factor.

Cell: 5.7197 12.1398 35.0703 Å, 90.00 90.00 90.00°
Space group Fddd (No. 70, origin choice 2)
Unique sites:
K1 0.0904 0.2564 0.3360 [32 per cell]
Nb1 0.0000 0.0000 0.5000 [16 per cell]
Cu1 0.0000 0.0000 0.0000 [16 per cell]
S1 0.0856 0.2587 0.8151 [32 per cell]

Top 10 peaks for 5 to 70 degrees two-theta, low angle first:
two_theta  I_rel
10.09  100
29.43  65
30.59  40
31.19  15
35.06  68
38.04  15
42.96  30
43.47  25
50.73  22
55.91  16



Starting from a crystal structure in the Materials Project, relaxed with GGA-PBE, the powder diffraction line list of Ga2HgTe4 was simulated for Cu Kα, 1.54184 Å.
Kinematic intensities with the Lorentz-polarization factor, no thermal factor.

Cell: 7.5321 8.8287 14.4397 Å, 90.00 79.12 89.89°
Space group P1 (No. 1)
Unique sites:
Ga1 0.0000 0.0000 0.0000 [1 per cell]
Ga2 0.0012 0.7776 0.5005 [1 per cell]
Ga3 0.0153 0.5305 0.9936 [1 per cell]
Ga4 0.2374 0.0194 0.2467 [1 per cell]
Ga5 0.4733 0.5052 0.5001 [1 per cell]
Ga6 0.7428 0.2598 0.2539 [1 per cell]
Ga7 0.7469 0.5163 0.7556 [1 per cell]
Ga8 0.7560 0.0094 0.7516 [1 per cell]
Hg1 0.0276 0.2449 0.4938 [1 per cell]
Hg2 0.2393 0.7600 0.7481 [1 per cell]
Hg3 0.4623 0.2712 0.9991 [1 per cell]
Hg4 0.7538 0.7675 0.2471 [1 per cell]
Te1 0.0677 0.4803 0.8069 [1 per cell]
Te2 0.0710 0.0422 0.8118 [1 per cell]
Te3 0.0711 0.2820 0.2945 [1 per cell]
Te4 0.0883 0.7548 0.3119 [1 per cell]
Te5 0.3040 0.5431 0.0634 [1 per cell]
Te6 0.3155 0.9796 0.0589 [1 per cell]
Te7 0.3271 0.7801 0.5463 [1 per cell]
Te8 0.3287 0.2616 0.5768 [1 per cell]
Te9 0.5382 0.5026 0.3095 [1 per cell]
Te10 0.5393 0.0258 0.3228 [1 per cell]
Te11 0.5464 0.2613 0.7942 [1 per cell]
Te12 0.5657 0.7652 0.8295 [1 per cell]
Te13 0.7812 0.0046 0.5631 [1 per cell]
Te14 0.7821 0.7620 0.0467 [1 per cell]
Te15 0.8032 0.5246 0.5613 [1 per cell]
Te16 0.8174 0.2641 0.0616 [1 per cell]

Top 10 peaks for 5 to 70 degrees two-theta, low angle first:
two_theta  I_rel
16.00  14
24.92  100
25.12  34
32.94  10
40.89  16
41.30  31
41.41  15
41.57  32
48.58  14
49.31  14



Starting from a crystal structure in the Materials Project, relaxed with GGA-PBE, the powder diffraction line list of Gd2HfO5 was simulated for Cu Kα, 1.54184 Å.
Kinematic intensities with the Lorentz-polarization factor, no thermal factor.

Cell: 4.1479 11.4218 10.9726 Å, 90.00 90.00 90.00°
Space group Cmcm (No. 63)
Unique sites:
Gd1 0.0000 0.1387 0.0674 [8 per cell]
Hf1 0.0000 0.1767 0.7500 [4 per cell]
O1 0.0000 0.0501 0.6199 [8 per cell]
O2 0.0000 0.2697 0.2500 [4 per cell]
O3 0.0000 0.2898 0.5907 [8 per cell]

Top 10 peaks for 5 to 70 degrees two-theta, low angle first:
two_theta  I_rel
15.52  38
22.81  86
28.99  100
31.33  19
31.91  62
33.60  76
40.06  24
43.64  28
52.10  40
53.25  37